Structure and theoretical X-ray powder pattern of Y2MgGe3Pd4 (the PBE geometry in Alexandria; Cu Kα (weighted mean of Kα1 and Kα2)).
Peak positions follow from Bragg's law for the DFT cell and can differ from measured ones.

Top 10 peaks for 5 to 70 degrees two-theta, in order of rising 2θ:
d/Å  I/Imax
10.997  22
2.934  12
2.747  48
2.589  100
2.075  61
2.006  34
1.943  35
1.656  21
1.467  20
1.418  24

abc: 4.1499 4.1499 10.9974
angles: 90.00 90.00 90.00
Space group P-4m2 (No. 115)
Symmetry-distinct sites (fractional):
Y  0.0000  0.5000  0.2376
Mg  0.0000  0.0000  0.5000
Ge  0.0000  0.5000  0.8672
Ge  0.5000  0.5000  0.5000
Pd  0.0000  0.0000  0.0000
Pd  0.0000  0.5000  0.6460
Pd  0.5000  0.5000  0.0000